Record 1
Structure and theoretical powder diffraction line list of La5Pm2NdIn (a structure optimized by DFT (PBE); Cu Kα (λ = 1.5418 Å)).
Lines closer than 0.1° are merged.

Most intense lines, 2θ from 10° to 90°, by angle:
Position (°2θ)  intensity  index
25.5  23  2 1 1
29.3  100  2 0 2
29.7  50  2 2 0
31.1  32  2 1 2
43.9  17  4 0 1
52.5  29  4 2 2

Crystal structure
```
data_La5Pm2NdIn
_chemical_formula_sum 'La10 Pm4 Nd2 In2'
_cell_length_a 8.4973
_cell_length_b 8.4973
_cell_length_c 8.7738
_cell_angle_alpha 90.00
_cell_angle_beta 90.00
_cell_angle_gamma 90.00
_space_group_name_H-M_alt 'P 4/m b m'
_space_group_IT_number 127
_space_group_name_Hall '-P 4 2ab'
loop_
_atom_site_label
_atom_site_fract_x
_atom_site_fract_y
_atom_site_fract_z
La1 0.0000 0.0000 0.0000
La2 0.2223 0.2777 0.2852
Pm1 0.1243 0.6243 0.0000
Nd1 0.0000 0.0000 0.5000
In1 0.0000 0.5000 0.5000
```

=====

Record 2
Structure and theoretical powder diffraction line list of IrPbO2 (a structure optimized by DFT (PBE); Cu Kα (λ = 1.5418 Å)).
Lines closer than 0.1° are merged.

Most intense lines, 2θ from 10° to 90°, by angle:
Position (°2θ)  intensity  index
27.0  54  0 0 6
32.8  100  0 1 2
36.4  63  1 0 4
48.8  39  0 1 8
56.0  25  1 1 0
63.3  31  1 1 6

Crystal structure
```
data_IrPbO2
_chemical_formula_sum 'Ir3 Pb3 O6'
_cell_length_a 3.2824
_cell_length_b 3.2824
_cell_length_c 19.8228
_cell_angle_alpha 90.00
_cell_angle_beta 90.00
_cell_angle_gamma 120.00
_space_group_name_H-M_alt 'R -3 m'
_space_group_IT_number 166
_space_group_name_Hall '-R 3 2"'
loop_
_atom_site_label
_atom_site_fract_x
_atom_site_fract_y
_atom_site_fract_z
Ir1 0.0000 0.0000 0.0000
Pb1 0.0000 0.0000 0.5000
O1 0.0000 0.0000 0.3768
```

=====

Record 3
Structure and theoretical powder diffraction line list of K2SrTlIn (a structure optimized by DFT (PBE); Cu Kα (λ = 1.5418 Å)).
Lines closer than 0.1° are merged.

Most intense lines, 2θ from 10° to 90°, by angle:
Position (°2θ)  intensity  index
11.6  93  0 0 1
29.5  100  0 1 2
31.3  83  1 1 0
33.5  47  1 1 1
43.6  34  2 0 2
54.6  34  1 2 2

Crystal structure
```
data_K2SrTlIn
_chemical_formula_sum 'K2 Sr1 Tl1 In1'
_cell_length_a 5.7125
_cell_length_b 5.7125
_cell_length_c 7.6512
_cell_angle_alpha 90.00
_cell_angle_beta 90.00
_cell_angle_gamma 120.00
_space_group_name_H-M_alt 'P 3 m 1'
_space_group_IT_number 156
loop_
_space_group_symop_operation_xyz
'x,y,z'
'-y,x-y,z'
'-x+y,-x,z'
'-y,-x,z'
'-x+y,y,z'
'x,x-y,z'
loop_
_atom_site_label
_atom_site_fract_x
_atom_site_fract_y
_atom_site_fract_z
K1 0.0000 0.0000 0.0000
K2 0.3333 0.6667 0.7228
Sr1 0.6667 0.3333 0.3584
Tl1 0.0000 0.0000 0.4719
In1 0.3333 0.6667 0.2496
```

=====

Record 4
Structure and theoretical powder diffraction line list of SmCdGa2 (a structure optimized by DFT (PBE); Cu Kα (λ = 1.5418 Å)).
Lines closer than 0.1° are merged.

Most intense lines, 2θ from 10° to 90°, by angle:
Position (°2θ)  intensity  index
32.4  100  2 1 0
33.7  71  1 1 3
39.8  26  1 1 4
41.0  41  0 2 0
45.2  38  3 0 3
62.6  28  3 2 3

Crystal structure
```
data_SmCdGa2
_chemical_formula_sum 'Sm4 Cd4 Ga8'
_cell_length_a 7.0978
_cell_length_b 4.4014
_cell_length_c 11.3747
_cell_angle_alpha 90.00
_cell_angle_beta 90.00
_cell_angle_gamma 90.00
_space_group_name_H-M_alt 'P n m a'
_space_group_IT_number 62
loop_
_space_group_symop_operation_xyz
'x,y,z'
'-x,-y,-z'
'-x+1/2,-y,z+1/2'
'x+1/2,y,-z+1/2'
'x+1/2,-y+1/2,-z+1/2'
'-x+1/2,y+1/2,z+1/2'
'-x,y+1/2,-z'
'x,-y+1/2,z'
loop_
_atom_site_label
_atom_site_fract_x
_atom_site_fract_y
_atom_site_fract_z
Sm1 0.1556 0.2500 0.1467
Cd1 0.1628 0.2500 0.4453
Ga1 0.0174 0.2500 0.6667
Ga2 0.1491 0.2500 0.8674
```

=====

Record 5
Structure and theoretical powder diffraction line list of La3Mg2VS8 (a structure optimized by DFT (PBE); Cu Kα (λ = 1.5418 Å)).
Lines closer than 0.1° are merged.

Most intense lines, 2θ from 10° to 90°, by angle:
Position (°2θ)  intensity  index
13.5  56  1 0 1
13.8  42  0 0 3
25.9  63  0 2 1
31.6  100  0 2 4
44.9  48  2 2 0
45.8  43  2 0 8

Crystal structure
```
data_La3Mg2VS8
_chemical_formula_sum 'La9 Mg6 V3 S24'
_cell_length_a 8.0769
_cell_length_b 8.0769
_cell_length_c 19.2506
_cell_angle_alpha 90.00
_cell_angle_beta 90.00
_cell_angle_gamma 120.00
_space_group_name_H-M_alt 'R -3 m'
_space_group_IT_number 166
_space_group_name_Hall '-R 3 2"'
loop_
_atom_site_label
_atom_site_fract_x
_atom_site_fract_y
_atom_site_fract_z
La1 0.0000 0.5000 0.0000
Mg1 0.0000 0.0000 0.1257
V1 0.0000 0.0000 0.5000
S1 0.0000 0.0000 0.2515
S2 0.0256 0.5128 0.2401
```

=====

Record 6
Structure and theoretical powder diffraction line list of TiB6O6 (a structure optimized by DFT (PBE); Cu Kα (λ = 1.5418 Å)).
Lines closer than 0.1° are merged.

Most intense lines, 2θ from 10° to 90°, by angle:
Position (°2θ)  intensity  index
17.9  100  1 1 0
20.0  82  2 0 -1
27.8  66  2 0 0
33.3  86  1 1 1
34.2  54  3 1 -2
37.4  80  1 3 -1

Crystal structure
```
data_TiB6O6
_chemical_formula_sum 'Ti2 B12 O12'
_cell_length_a 8.8632
_cell_length_b 7.8208
_cell_length_c 6.2230
_cell_angle_alpha 90.00
_cell_angle_beta 133.66
_cell_angle_gamma 90.00
_space_group_name_H-M_alt 'C 1 2/m 1'
_space_group_IT_number 12
loop_
_space_group_symop_operation_xyz
'x,y,z'
'-x,-y,-z'
'-x,y,-z'
'x,-y,z'
'x+1/2,y+1/2,z'
'-x+1/2,-y+1/2,-z'
'-x+1/2,y+1/2,-z'
'x+1/2,-y+1/2,z'
loop_
_atom_site_label
_atom_site_fract_x
_atom_site_fract_y
_atom_site_fract_z
Ti1 0.0000 0.0000 0.0000
B1 0.1961 0.0000 0.8539
B2 0.2468 0.3427 0.4278
O1 0.2321 0.5000 0.5303
O2 0.2429 0.1512 0.7832
```

=====

Record 7
Structure and theoretical powder diffraction line list of Ca2La7 (a structure optimized by DFT (PBE); Cu Kα (λ = 1.5418 Å)).
Lines closer than 0.1° are merged.

Most intense lines, 2θ from 10° to 90°, by angle:
Position (°2θ)  intensity  index
28.9  100  1 1 1
29.1  32  0 0 3
33.6  70  2 -1 2
48.1  24  3 0 0
48.3  23  1 1 4
57.2  42  4 -2 1

Crystal structure
```
data_Ca2La7
_chemical_formula_sum 'Ca2 La7'
_cell_length_a 6.5486
_cell_length_b 6.5486
_cell_length_c 9.2073
_cell_angle_alpha 90.00
_cell_angle_beta 90.00
_cell_angle_gamma 120.00
_space_group_name_H-M_alt 'P -3 1 m'
_space_group_IT_number 162
_space_group_name_Hall '-P 3 2'
loop_
_atom_site_label
_atom_site_fract_x
_atom_site_fract_y
_atom_site_fract_z
Ca1 0.3333 0.6667 0.0000
La1 0.0000 0.0000 0.0000
La2 0.0000 0.3231 0.6588
```

=====

Record 8
Structure and theoretical powder diffraction line list of Pm3SnPb2 (a structure optimized by DFT (PBE); Cu Kα (λ = 1.5418 Å)).
Lines closer than 0.1° are merged.

Most intense lines, 2θ from 10° to 90°, by angle:
Position (°2θ)  intensity  index
27.5  49  1 2 1
32.5  100  1 1 2
34.8  51  0 3 2
36.9  59  1 4 0
37.6  41  2 0 0
52.2  34  2 3 2

Crystal structure
```
data_Pm3SnPb2
_chemical_formula_sum 'Pm6 Sn2 Pb4'
_cell_length_a 4.7852
_cell_length_b 11.3005
_cell_length_c 7.0667
_cell_angle_alpha 90.00
_cell_angle_beta 90.00
_cell_angle_gamma 90.00
_space_group_name_H-M_alt 'P m c 21'
_space_group_IT_number 26
loop_
_space_group_symop_operation_xyz
'x,y,z'
'-x,-y,z+1/2'
'-x,y,z'
'x,-y,z+1/2'
loop_
_atom_site_label
_atom_site_fract_x
_atom_site_fract_y
_atom_site_fract_z
Pm1 0.0000 0.0579 0.0000
Pm2 0.0000 0.2703 0.4912
Pm3 0.5000 0.3769 0.0037
Sn1 0.5000 0.1371 0.2767
Pb1 0.0000 0.4969 0.7495
Pb2 0.5000 0.1406 0.7186
```

=====

Record 9
Structure and theoretical powder diffraction line list of Ce2SiPt2Rh4 (a structure optimized by DFT (PBE); Cu Kα (λ = 1.5418 Å)).
Lines closer than 0.1° are merged.

Most intense lines, 2θ from 10° to 90°, by angle:
Position (°2θ)  intensity  index
36.3  100  2 0 2
41.9  38  2 2 0
42.8  16  0 0 4
60.7  12  4 0 0
61.4  22  2 2 4
72.8  24  4 2 2

Crystal structure
```
data_Ce2SiPt2Rh4
_chemical_formula_sum 'Ce4 Si2 Pt4 Rh8'
_cell_length_a 6.1032
_cell_length_b 6.1032
_cell_length_c 8.4605
_cell_angle_alpha 90.00
_cell_angle_beta 90.00
_cell_angle_gamma 90.00
_space_group_name_H-M_alt 'I 4/m m m'
_space_group_IT_number 139
_space_group_name_Hall '-I 4 2'
loop_
_atom_site_label
_atom_site_fract_x
_atom_site_fract_y
_atom_site_fract_z
Ce1 0.0000 0.5000 0.2500
Si1 0.0000 0.0000 0.0000
Pt1 0.0000 0.0000 0.2732
Rh1 0.2338 0.2338 0.5000
```

=====

Record 10
Structure and theoretical powder diffraction line list of Rb2Er2NpS6 (a structure optimized by DFT (PBE); Cu Kα (λ = 1.5418 Å)).
Lines closer than 0.1° are merged.

Most intense lines, 2θ from 10° to 90°, by angle:
Position (°2θ)  intensity  index
11.3  100  0 0 1
22.6  33  0 0 2
26.8  53  1 3 -1
29.8  39  2 0 -2
29.9  79  1 3 1
45.3  38  0 6 0

Crystal structure
```
data_Rb2Er2NpS6
_chemical_formula_sum 'Rb4 Er4 Np2 S12'
_cell_length_a 6.9334
_cell_length_b 12.0021
_cell_length_c 8.2084
_cell_angle_alpha 90.00
_cell_angle_beta 106.68
_cell_angle_gamma 90.00
_space_group_name_H-M_alt 'C 1 2/m 1'
_space_group_IT_number 12
loop_
_space_group_symop_operation_xyz
'x,y,z'
'-x,-y,-z'
'-x,y,-z'
'x,-y,z'
'x+1/2,y+1/2,z'
'-x+1/2,-y+1/2,-z'
'-x+1/2,y+1/2,-z'
'x+1/2,-y+1/2,z'
loop_
_atom_site_label
_atom_site_fract_x
_atom_site_fract_y
_atom_site_fract_z
Rb1 0.0000 0.1685 0.0000
Er1 0.0000 0.3336 0.5000
Np1 0.0000 0.0000 0.5000
S1 0.2271 0.1658 0.6850
S2 0.2340 0.5000 0.6848
```

=====

Record 11
Structure and theoretical powder diffraction line list of BaTi4Cu3O12 (a structure optimized by DFT (PBE); Cu Kα (λ = 1.5418 Å)).
Lines closer than 0.1° are merged.

Most intense lines, 2θ from 10° to 90°, by angle:
Position (°2θ)  intensity  index
33.5  100  2 2 0
41.4  10  2 2 2
48.1  27  4 0 0
59.9  48  4 2 2
70.5  13  4 4 0
80.3  16  6 2 0

Crystal structure
```
data_BaTi4Cu3O12
_chemical_formula_sum 'Ba2 Ti8 Cu6 O24'
_cell_length_a 7.5599
_cell_length_b 7.5599
_cell_length_c 7.5599
_cell_angle_alpha 90.00
_cell_angle_beta 90.00
_cell_angle_gamma 90.00
_space_group_name_H-M_alt 'I m -3'
_space_group_IT_number 204
_space_group_name_Hall '-I 2 2 3'
loop_
_atom_site_label
_atom_site_fract_x
_atom_site_fract_y
_atom_site_fract_z
Ba1 0.0000 0.0000 0.0000
Ti1 0.2500 0.2500 0.2500
Cu1 0.0000 0.0000 0.5000
O1 0.0000 0.3086 0.1830
```

=====

Record 12
Structure and theoretical powder diffraction line list of DyScCI (a structure optimized by DFT (PBE); Cu Kα (λ = 1.5418 Å)).
Lines closer than 0.1° are merged.

Most intense lines, 2θ from 10° to 90°, by angle:
Position (°2θ)  intensity  index
12.4  31  0 0 3
28.4  74  1 0 1
32.8  99  1 0 4
35.1  100  0 1 5
49.8  43  1 1 0
64.0  36  1 1 9

Crystal structure
```
data_DyScCI
_chemical_formula_sum 'Dy3 Sc3 C3 I3'
_cell_length_a 3.6653
_cell_length_b 3.6653
_cell_length_c 21.4989
_cell_angle_alpha 90.00
_cell_angle_beta 90.00
_cell_angle_gamma 120.00
_space_group_name_H-M_alt 'R 3 m'
_space_group_IT_number 160
_space_group_name_Hall 'R 3 -2"'
loop_
_atom_site_label
_atom_site_fract_x
_atom_site_fract_y
_atom_site_fract_z
Dy1 0.0000 0.0000 0.0000
Sc1 0.0000 0.0000 0.2222
C1 0.0000 0.0000 0.6035
I1 0.0000 0.0000 0.7812
```

=====

Record 13
Structure and theoretical powder diffraction line list of Th4As6Pd5 (a structure optimized by DFT (PBE); Cu Kα (λ = 1.5418 Å)).
Lines closer than 0.1° are merged.

Most intense lines, 2θ from 10° to 90°, by angle:
Position (°2θ)  intensity  index
27.6  44  1 1 3
31.1  34  1 5 0
31.6  85  1 1 4
34.8  34  0 0 6
35.8  100  1 5 3
42.5  66  2 0 0

Crystal structure
```
data_Th4As6Pd5
_chemical_formula_sum 'Th16 As24 Pd20'
_cell_length_a 4.2548
_cell_length_b 19.4945
_cell_length_c 15.4523
_cell_angle_alpha 90.00
_cell_angle_beta 90.00
_cell_angle_gamma 90.00
_space_group_name_H-M_alt 'C m c 21'
_space_group_IT_number 36
loop_
_space_group_symop_operation_xyz
'x,y,z'
'-x,-y,z+1/2'
'-x,y,z'
'x,-y,z+1/2'
'x+1/2,y+1/2,z'
'-x+1/2,-y+1/2,z+1/2'
'-x+1/2,y+1/2,z'
'x+1/2,-y+1/2,z+1/2'
loop_
_atom_site_label
_atom_site_fract_x
_atom_site_fract_y
_atom_site_fract_z
Th1 0.0000 0.0186 0.0000
Th2 0.0000 0.0391 0.2664
Th3 0.0000 0.1695 0.7975
Th4 0.0000 0.1868 0.4478
As1 0.0000 0.1113 0.6156
As2 0.0000 0.2133 0.9877
As3 0.0000 0.2286 0.2589
As4 0.0000 0.4212 0.9183
As5 0.0000 0.4286 0.6258
As6 0.0000 0.4389 0.3441
Pd1 0.0000 0.1476 0.1293
Pd2 0.0000 0.3034 0.1153
Pd3 0.0000 0.3446 0.7839
Pd4 0.0000 0.3578 0.4690
Pd5 0.0000 0.4444 0.1755
```